1.
Computed powder diffraction line list
Compound: KTi12Se16
Radiation: Cu Ka
Structure: a cell relaxed with PBE

Structural model:
```
data_KTi12Se16
_symmetry_space_group_name_H-M 'P -1'
_symmetry_Int_Tables_number 2
_cell_length_a 7.168
_cell_length_b 9.964
_cell_length_c 10.568
_cell_angle_alpha 118.07
_cell_angle_beta 109.78
_cell_angle_gamma 90.03
loop_
_symmetry_equiv_pos_as_xyz
'x,y,z'
'-x,-y,-z'
loop_
_atom_site_label
_atom_site_type_symbol
_atom_site_fract_x
_atom_site_fract_y
_atom_site_fract_z
K1 K 0.000 0.000 0.000
Ti1 Ti 0.054 0.491 0.360
Ti2 Ti 0.060 0.360 0.869
Ti3 Ti 0.131 0.868 0.509
Ti4 Ti 0.371 0.131 0.491
Ti5 Ti 0.441 0.640 0.132
Ti6 Ti 0.444 0.509 0.641
Se1 Se 0.025 0.949 0.303
Se2 Se 0.101 0.647 0.950
Se3 Se 0.199 0.699 0.648
Se4 Se 0.208 0.333 0.666
Se5 Se 0.292 0.666 0.333
Se6 Se 0.303 0.303 0.353
Se7 Se 0.400 0.352 0.050
Se8 Se 0.474 0.050 0.699
```

Most intense lines, 2θ from 10° to 90°, by angle:
(0 1 0), 10.26 deg, I 100
(2 1 -3), 30.74 deg, I 52
(0 0 3), 31.13 deg, I 72
(2 0 1), 32.49 deg, I 53
(2 2 0), 37.30 deg, I 75
(2 4 -3), 44.31 deg, I 63

=====

2.
Computed powder diffraction line list
Compound: Na6MnCl8
Radiation: Cu Ka
Structure: a cell relaxed with PBE

Structural model:
```
data_Na6MnCl8
_symmetry_space_group_name_H-M 'F m -3 m'
_symmetry_Int_Tables_number 225
_symmetry_space_group_name_Hall '-F 4 2 3'
_cell_length_a 11.328
_cell_length_b 11.328
_cell_length_c 11.328
_cell_angle_alpha 90.00
_cell_angle_beta 90.00
_cell_angle_gamma 90.00
loop_
_atom_site_label
_atom_site_type_symbol
_atom_site_fract_x
_atom_site_fract_y
_atom_site_fract_z
Na1 Na 0.000 0.250 0.250
Mn1 Mn 0.000 0.000 0.000
Cl1 Cl 0.000 0.000 0.227
Cl2 Cl 0.250 0.250 0.250
```

Most intense lines, 2θ from 10° to 90°, by angle:
(1 1 1), 13.54 deg, I 38
(4 0 0), 31.59 deg, I 100
(4 4 0), 45.29 deg, I 63
(4 4 4), 56.26 deg, I 19
(8 4 0), 74.99 deg, I 21
(8 4 4), 83.64 deg, I 14